# 1
This entry pairs a crystal structure of AcHo2Tm4 with its computed X-ray diffraction stick pattern. Radiation: Cu Kα X-rays. Structure: a DFT-relaxed cell (PBE, Alexandria).
Neutral-atom scattering factors, no anomalous dispersion.

Main lines, most intense first (10° ≤ 2θ ≤ 80°):
2θ (°), I (rel.), h k l
31.27, 1000, 0 1 -3
32.78, 697, 0 3 -2
31.52, 458, 0 2 1
33.11, 284, -2 1 2
30.10, 198, 2 -2 0
29.94, 187, 2 1 -1
61.44, 141, 4 -2 2
51.61, 130, -4 1 1
58.28, 104, 2 4 -4
48.00, 102, 2 3 -1

Cell and atoms:
Cell: 7.084 8.534 8.830 Å, 114.33 101.27 101.73°
Space group P1 (No. 1)
One atom of each set of equivalent atoms:
Ac 0.000 0.000 0.000 (multiplicity 1)
Ac 0.414 0.452 0.158 (multiplicity 1)
Ho 0.222 0.157 0.717 (multiplicity 1)
Ho 0.583 0.741 0.590 (multiplicity 1)
Ho 0.705 0.333 0.454 (multiplicity 1)
Ho 0.911 0.459 0.158 (multiplicity 1)
Tm 0.084 0.735 0.586 (multiplicity 1)
Tm 0.108 0.559 0.859 (multiplicity 1)
Tm 0.203 0.337 0.457 (multiplicity 1)
Tm 0.313 0.899 0.328 (multiplicity 1)
Tm 0.497 0.994 0.989 (multiplicity 1)
Tm 0.606 0.563 0.858 (multiplicity 1)
Tm 0.723 0.161 0.727 (multiplicity 1)
Tm 0.811 0.898 0.330 (multiplicity 1)

***

# 2
This entry pairs a crystal structure of Ac2Ho6Tm5 with its computed X-ray diffraction stick pattern. Radiation: Cu Kα X-rays. Structure: a DFT-relaxed cell (PBE, Alexandria).
Neutral-atom scattering factors, no anomalous dispersion.

Main lines, most intense first (10° ≤ 2θ ≤ 80°):
2θ (°), I (rel.), h k l
31.92, 1000, 2 3 1
32.04, 525, 1 7 0
30.52, 487, 4 1 0
31.38, 378, 1 4 1
34.08, 279, 2 4 1
31.76, 255, 3 5 0
50.46, 221, 0 0 2
36.25, 212, 3 3 1
31.50, 190, 4 2 0
35.12, 176, 3 6 0

Cell and atoms:
Cell: 11.840 20.121 3.617 Å, 90.00 90.00 90.00°
Space group Pbam (No. 55)
One atom of each set of equivalent atoms:
Ac 0.159 0.222 0.000 (multiplicity 4)
Ho 0.059 0.925 0.000 (multiplicity 4)
Ho 0.076 0.637 0.000 (multiplicity 4)
Ho 0.181 0.383 0.500 (multiplicity 4)
Tm 0.000 0.500 0.500 (multiplicity 2)
Tm 0.102 0.782 0.500 (multiplicity 4)
Tm 0.200 0.052 0.500 (multiplicity 4)